Record 1
Li3Tl: theoretical powder diffraction line list (λ = 1.5418 Å (Cu Kα)), based on a PBE-relaxed structure.
No peak broadening, texture or thermal motion is included.

Structural model:
a b c (Å): 5.3476 9.7274 5.9892
angles (deg): 90.00 90.00 90.00
Element x y z (fractional)
Li 0.0793 0.2500 0.1026
Li 0.2257 0.5118 0.3515
Li 0.2257 0.9882 0.3515
Li 0.2743 0.0118 0.8515
Li 0.2743 0.4882 0.8515
Li 0.4207 0.7500 0.6026
Li 0.5793 0.2500 0.3974
Li 0.7257 0.5118 0.1485
Li 0.7257 0.9882 0.1485
Li 0.7743 0.0118 0.6485
Li 0.7743 0.4882 0.6485
Li 0.9207 0.7500 0.8974
Tl 0.1010 0.2500 0.5858
Tl 0.3990 0.7500 0.0858
Tl 0.6010 0.2500 0.9142
Tl 0.8990 0.7500 0.4142

Main lines, in order of falling intensity (2θ = 10–80°):
- 4.864 Å, 18.24°, rel. 1000
- 3.084 Å, 28.95°, rel. 624
- 3.989 Å, 22.29°, rel. 608
- 5.100 Å, 17.39°, rel. 588
- 3.691 Å, 24.11°, rel. 541
- 2.523 Å, 35.58°, rel. 438
- 2.578 Å, 34.80°, rel. 413
- 1.955 Å, 46.45°, rel. 269

***

Record 2
La3Mg2Al7: theoretical powder diffraction line list (λ = 1.5418 Å (Cu Kα)), based on a PBE-relaxed structure.
No peak broadening, texture or thermal motion is included.

Structural model:
a b c (Å): 9.7633 9.7633 9.7633
angles (deg): 34.46 34.46 34.46
Element x y z (fractional)
La 0.0000 0.0000 0.0000
La 0.1410 0.1410 0.1410
La 0.8590 0.8590 0.8590
Mg 0.3349 0.3349 0.3349
Mg 0.6651 0.6651 0.6651
Al 0.0801 0.5875 0.5875
Al 0.4125 0.4125 0.9199
Al 0.4125 0.9199 0.4125
Al 0.5000 0.5000 0.5000
Al 0.5875 0.0801 0.5875
Al 0.5875 0.5875 0.0801
Al 0.9199 0.4125 0.4125

Main lines, in order of falling intensity (2θ = 10–80°):
- 2.446 Å, 36.74°, rel. 1000
- 2.892 Å, 30.92°, rel. 837
- 3.093 Å, 28.87°, rel. 831
- 4.928 Å, 18.00°, rel. 709
- 2.836 Å, 31.55°, rel. 537
- 2.494 Å, 36.01°, rel. 461
- 1.706 Å, 53.74°, rel. 300
- 1.569 Å, 58.86°, rel. 250

***

Record 3
Ac2NdYHo: theoretical powder diffraction line list (λ = 1.5418 Å (Cu Kα)), based on a PBE-relaxed structure.
No peak broadening, texture or thermal motion is included.

Structural model:
a b c (Å): 6.4668 8.9565 6.7405
angles (deg): 90.00 90.00 90.00
Element x y z (fractional)
Ac 0.2500 0.2037 0.2108
Ac 0.2500 0.7963 0.2108
Ac 0.7500 0.2037 0.7892
Ac 0.7500 0.7963 0.7892
Nd 0.2500 0.5000 0.9176
Nd 0.7500 0.5000 0.0824
Y 0.2500 0.0000 0.6829
Y 0.7500 0.0000 0.3171
Ho 0.0000 0.5000 0.5000
Ho 0.5000 0.5000 0.5000

Main lines, in order of falling intensity (2θ = 10–80°):
- 3.232 Å, 27.60°, rel. 1000
- 4.666 Å, 19.02°, rel. 266
- 3.154 Å, 28.29°, rel. 240
- 2.693 Å, 33.27°, rel. 236
- 2.986 Å, 29.92°, rel. 219
- 2.333 Å, 38.59°, rel. 183
- 2.515 Å, 35.70°, rel. 179
- 2.772 Å, 32.29°, rel. 178

***

Record 4
Pm2Pr5Sn4: theoretical powder diffraction line list (λ = 1.5418 Å (Cu Kα)), based on a PBE-relaxed structure.
No peak broadening, texture or thermal motion is included.

Structural model:
a b c (Å): 13.8274 13.8274 7.6372
angles (deg): 91.84 91.84 14.91
Element x y z (fractional)
Pm 0.0895 0.0895 0.3015
Pm 0.9105 0.9105 0.6985
Pr 0.1371 0.1371 0.8335
Pr 0.2337 0.2337 0.2252
Pr 0.5000 0.5000 0.0000
Pr 0.7663 0.7663 0.7748
Pr 0.8629 0.8629 0.1665
Sn 0.0296 0.0296 0.6595
Sn 0.3273 0.3273 0.4956
Sn 0.6727 0.6727 0.5044
Sn 0.9704 0.9704 0.3405

Main lines, in order of falling intensity (2θ = 10–80°):
- 3.088 Å, 28.91°, rel. 1000
- 3.073 Å, 29.06°, rel. 834
- 2.977 Å, 30.02°, rel. 814
- 2.485 Å, 36.14°, rel. 568
- 2.608 Å, 34.39°, rel. 556
- 2.237 Å, 40.32°, rel. 378
- 3.558 Å, 25.03°, rel. 337
- 1.794 Å, 50.89°, rel. 276

***

Record 5
Pr4Cu5Ni2: theoretical powder diffraction line list (λ = 1.5418 Å (Cu Kα)), based on a PBE-relaxed structure.
No peak broadening, texture or thermal motion is included.

Structural model:
a b c (Å): 7.0291 4.0339 8.0567
angles (deg): 90.00 91.63 90.00
Element x y z (fractional)
Pr 0.2280 0.0000 0.1449
Pr 0.2490 0.0000 0.6252
Pr 0.7510 0.0000 0.3748
Pr 0.7720 0.0000 0.8551
Cu 0.1274 0.5000 0.8875
Cu 0.4192 0.5000 0.3625
Cu 0.5000 0.5000 0.0000
Cu 0.5808 0.5000 0.6375
Cu 0.8726 0.5000 0.1125
Ni 0.0696 0.5000 0.3685
Ni 0.9304 0.5000 0.6315

Main lines, in order of falling intensity (2θ = 10–80°):
- 2.660 Å, 33.70°, rel. 1000
- 2.649 Å, 33.83°, rel. 911
- 2.623 Å, 34.19°, rel. 801
- 2.016 Å, 44.98°, rel. 612
- 2.050 Å, 44.18°, rel. 318
- 3.452 Å, 25.81°, rel. 229
- 2.000 Å, 45.35°, rel. 227
- 1.438 Å, 64.85°, rel. 194

***

Record 6
CsPmFe2I8: theoretical powder diffraction line list (λ = 1.5418 Å (Cu Kα)), based on a PBE-relaxed structure.
No peak broadening, texture or thermal motion is included.

Structural model:
a b c (Å): 7.4992 7.4992 11.2133
angles (deg): 95.87 95.87 68.81
Element x y z (fractional)
Cs 0.0000 0.0000 0.0000
Pm 0.0000 0.0000 0.5000
Fe 0.3830 0.3830 0.7099
Fe 0.6170 0.6170 0.2901
I 0.2358 0.7267 0.2958
I 0.2512 0.2512 0.5070
I 0.2733 0.7642 0.7042
I 0.3098 0.3098 0.9130
I 0.6902 0.6902 0.0870
I 0.7267 0.2358 0.2958
I 0.7488 0.7488 0.4930
I 0.7642 0.2733 0.7042

Main lines, in order of falling intensity (2θ = 10–80°):
- 3.370 Å, 26.45°, rel. 1000
- 6.121 Å, 14.47°, rel. 430
- 2.189 Å, 41.23°, rel. 429
- 3.487 Å, 25.54°, rel. 335
- 3.686 Å, 24.15°, rel. 309
- 4.207 Å, 21.12°, rel. 294
- 2.168 Å, 41.66°, rel. 271
- 3.396 Å, 26.24°, rel. 244

***

Record 7
AlSi2Se4: theoretical powder diffraction line list (λ = 1.5418 Å (Cu Kα)), based on a PBE-relaxed structure.
No peak broadening, texture or thermal motion is included.

Structural model:
a b c (Å): 6.3997 6.3997 6.3997
angles (deg): 102.82 102.82 123.78
Element x y z (fractional)
Al 0.0000 0.0000 0.0000
Si 0.2500 0.7500 0.5000
Si 0.7500 0.2500 0.5000
Se 0.1751 0.6469 0.8220
Se 0.3531 0.1751 0.5282
Se 0.6469 0.8249 0.4718
Se 0.8249 0.3531 0.1780

Main lines, in order of falling intensity (2θ = 10–80°):
- 3.072 Å, 29.07°, rel. 1000
- 1.936 Å, 46.94°, rel. 277
- 5.645 Å, 15.70°, rel. 266
- 1.752 Å, 52.22°, rel. 188
- 3.015 Å, 29.63°, rel. 160
- 1.844 Å, 49.44°, rel. 138
- 2.406 Å, 37.38°, rel. 114
- 2.525 Å, 35.56°, rel. 107

***

Record 8
Ce2Ge5Ru3: theoretical powder diffraction line list (λ = 1.5418 Å (Cu Kα)), based on a PBE-relaxed structure.
No peak broadening, texture or thermal motion is included.

Structural model:
a b c (Å): 8.5091 8.5091 8.5091
angles (deg): 108.00 85.88 139.71
Element x y z (fractional)
Ce 0.1383 0.2294 0.3676
Ce 0.3617 0.7294 0.0911
Ce 0.6383 0.2706 0.9089
Ce 0.8617 0.7706 0.6324
Ge 0.0402 0.7500 0.2902
Ge 0.0905 0.6701 0.7605
Ge 0.2500 0.2500 0.0000
Ge 0.4095 0.1701 0.5796
Ge 0.4598 0.7500 0.7098
Ge 0.5402 0.2500 0.2902
Ge 0.5905 0.8299 0.4204
Ge 0.7500 0.7500 0.0000
Ge 0.9095 0.3299 0.2395
Ge 0.9598 0.2500 0.7098
Ru 0.1463 0.9030 0.0494
Ru 0.2500 0.7500 0.5000
Ru 0.3537 0.4030 0.7567
Ru 0.6463 0.5970 0.2433
Ru 0.7500 0.2500 0.5000
Ru 0.8537 0.0970 0.9506

Main lines, in order of falling intensity (2θ = 10–80°):
- 2.628 Å, 34.12°, rel. 1000
- 2.134 Å, 42.35°, rel. 905
- 2.528 Å, 35.50°, rel. 867
- 2.644 Å, 33.91°, rel. 675
- 2.262 Å, 39.85°, rel. 276
- 1.688 Å, 54.33°, rel. 246
- 2.329 Å, 38.67°, rel. 239
- 1.627 Å, 56.56°, rel. 231

***

Record 9
Rb3CaSb2O6: theoretical powder diffraction line list (λ = 1.5418 Å (Cu Kα)), based on a PBE-relaxed structure.
No peak broadening, texture or thermal motion is included.

Structural model:
a b c (Å): 6.3439 6.3439 7.5062
angles (deg): 90.00 90.00 120.00
Element x y z (fractional)
Rb 0.0000 0.0000 0.0000
Rb 0.3333 0.6667 0.6560
Rb 0.6667 0.3333 0.3440
Ca 0.0000 0.0000 0.5000
Sb 0.3333 0.6667 0.1986
Sb 0.6667 0.3333 0.8014
O 0.1740 0.3480 0.3095
O 0.1740 0.8260 0.3095
O 0.3480 0.1740 0.6905
O 0.6520 0.8260 0.3095
O 0.8260 0.1740 0.6905
O 0.8260 0.6520 0.6905

Main lines, in order of falling intensity (2θ = 10–80°):
- 3.172 Å, 28.13°, rel. 1000
- 3.099 Å, 28.81°, rel. 876
- 2.217 Å, 40.70°, rel. 527
- 1.817 Å, 50.21°, rel. 362
- 4.433 Å, 20.03°, rel. 242
- 1.831 Å, 49.79°, rel. 202
- 1.586 Å, 58.17°, rel. 185
- 1.412 Å, 66.19°, rel. 162

***

Record 10
Y2HgC2: theoretical powder diffraction line list (λ = 1.5418 Å (Cu Kα)), based on a PBE-relaxed structure.
No peak broadening, texture or thermal motion is included.

Structural model:
a b c (Å): 7.8518 7.8518 6.8722
angles (deg): 108.99 108.99 28.56
Element x y z (fractional)
Y 0.0024 0.6922 0.8778
Y 0.3078 0.9976 0.6222
Y 0.6922 0.0024 0.3778
Y 0.9976 0.3078 0.1222
Hg 0.4599 0.5401 0.2500
Hg 0.5401 0.4599 0.7500
C 0.1502 0.4010 0.4758
C 0.4010 0.1502 0.9758
C 0.5990 0.8498 0.0242
C 0.8498 0.5990 0.5242

Main lines, in order of falling intensity (2θ = 10–80°):
- 3.009 Å, 29.69°, rel. 1000
- 2.636 Å, 34.00°, rel. 672
- 2.561 Å, 35.04°, rel. 593
- 2.943 Å, 30.37°, rel. 553
- 7.167 Å, 12.35°, rel. 526
- 2.980 Å, 29.98°, rel. 444
- 2.389 Å, 37.66°, rel. 426
- 3.740 Å, 23.79°, rel. 393

***

Record 11
Mg4Cd7Cu: theoretical powder diffraction line list (λ = 1.5418 Å (Cu Kα)), based on a PBE-relaxed structure.
No peak broadening, texture or thermal motion is included.

Structural model:
a b c (Å): 5.9775 5.9775 10.9525
angles (deg): 115.44 115.44 52.16
Element x y z (fractional)
Mg 0.0399 0.0399 0.3723
Mg 0.4007 0.4007 0.2152
Mg 0.5993 0.5993 0.7848
Mg 0.9601 0.9601 0.6277
Cd 0.0000 0.0000 0.0000
Cd 0.2170 0.2170 0.9163
Cd 0.2917 0.2917 0.7001
Cd 0.3485 0.3485 0.4597
Cd 0.6515 0.6515 0.5403
Cd 0.7083 0.7083 0.2999
Cd 0.7830 0.7830 0.0837
Cu 0.5000 0.5000 0.0000

Main lines, in order of falling intensity (2θ = 10–80°):
- 3.812 Å, 23.33°, rel. 1000
- 2.628 Å, 34.12°, rel. 984
- 2.369 Å, 37.99°, rel. 815
- 2.358 Å, 38.17°, rel. 790
- 2.576 Å, 34.82°, rel. 774
- 1.840 Å, 49.55°, rel. 549
- 2.332 Å, 38.60°, rel. 349
- 4.809 Å, 18.45°, rel. 331